# Ce8Fe8As8O7F
Simulated X-ray diffraction stick pattern, CuKα. Input: a GGA+U-relaxed structure.

Atomic structure:
a = 10.6030 Å, b = 10.6030 Å, c = 10.6030 Å
α = 136.06°, β = 136.06°, γ = 63.89°
Element x y z (fractional)
1 Ce 0.0683 0.8189 0.2493
2 Ce 0.0839 0.3239 0.7600
3 Ce 0.1811 0.4304 0.2493
4 Ce 0.1811 0.9317 0.7507
5 Ce 0.5638 0.3239 0.2400
6 Ce 0.5696 0.8189 0.7507
7 Ce 0.6761 0.4362 0.7600
8 Ce 0.6761 0.9161 0.2400
9 Fe 0.0000 0.0000 0.0000
10 Fe 0.9996 0.4996 0.5000
11 Fe 0.2494 0.2494 0.4989
12 Fe 0.2494 0.7506 0.0000
13 Fe 0.5004 0.0004 0.5000
14 Fe 0.5000 0.5000 0.0000
15 Fe 0.7506 0.2494 0.0000
16 Fe 0.7506 0.7506 0.5011
17 As 0.3434 0.5943 0.7492
18 As 0.3453 0.0948 0.2505
19 As 0.4057 0.1549 0.7492
20 As 0.4057 0.6566 0.2508
21 As 0.8443 0.0948 0.7495
22 As 0.8451 0.5943 0.2508
23 As 0.9052 0.1557 0.2505
24 As 0.9052 0.6547 0.7495
25 O 0.2500 0.7500 0.5000
26 O 0.2519 0.2519 0.0000
27 O 0.5035 0.0035 0.0069
28 O 0.5035 0.4965 0.5000
29 O 0.7481 0.7481 0.0000
30 O 0.9965 0.0035 0.5000
31 O 0.9965 0.4965 0.9931
32 F 0.7500 0.2500 0.5000

Most intense lines, 2θ = 10–90°, low angle first:
2theta	I_rel
30.03	100
31.90	23
33.46	21
37.60	13
37.79	40
45.74	37
46.41	16
52.12	22
55.69	34
66.68	12